This entry pairs a crystal structure of Nd2Dy2CI2Br2Cl with its theoretical powder diffractogram. Radiation: Cu Kα, 1.54184 Å. Structure: a crystal structure in OQMD, relaxed with GGA-PBE.
Lines closer than 0.1° are merged.

```
Nd2Dy2CI2Br2Cl
1.0
9.228 -1.945 0.000
9.228 1.945 0.000
-1.749 0.000 8.034
Nd Dy C I Br Cl
2 2 1 2 2 1
Cartesian
2.447 0.000 0.582
14.259 0.000 7.452
8.826 0.000 1.624
7.881 0.000 6.410
0.000 0.000 0.000
5.134 0.000 5.035
11.573 0.000 3.000
5.848 0.000 1.477
10.859 0.000 6.557
-0.874 0.000 4.017
```

Top 10 peaks for 5 to 70 degrees two-theta, sorted by position:
2θ/deg, intensity
11.01, 29
28.29, 21
29.73, 53
30.72, 30
31.67, 100
33.91, 30
36.99, 21
43.82, 30
44.15, 29
56.35, 21